Diffraction record for CuRhO. The X-ray diffraction stick pattern is calculated, not measured: it uses a crystal structure in Alexandria, relaxed with PBE and copper Kα.
Intensities are scaled so that the largest is 100.

```
data_CuRhO
_chemical_formula_sum 'Cu2 Rh2 O2'
_symmetry_space_group_name_H-M 'P 1'
_symmetry_Int_Tables_number 1
_symmetry_space_group_name_Hall 'P 1'
_cell_length_a 3.223
_cell_length_b 3.223
_cell_length_c 6.947
_cell_angle_alpha 91.94
_cell_angle_beta 91.94
_cell_angle_gamma 87.84
loop_
_atom_site_label
_atom_site_fract_x
_atom_site_fract_y
_atom_site_fract_z
Cu1 0.249 0.751 0.000
Cu2 0.751 0.249 0.000
Rh1 0.280 0.280 0.311
Rh2 0.720 0.720 0.689
O1 0.280 0.280 0.617
O2 0.720 0.720 0.383
```

Top 10 peaks for 2θ = 15–90°, sorted by position:
2theta  d/Å  I/Imax
30.22  2.957  100
31.00  2.885  58
38.78  2.322  33
38.94  2.313  85
41.63  2.169  50
42.48  2.128  62
46.04  1.971  43
48.44  1.879  60
57.24  1.610  58
72.65  1.301  28